Simulated X-ray powder pattern
Compound: YV2O4
Radiation: CuKα
Structure: a GGA+U-relaxed structure
Intensities are scaled so that the largest is 100.

The 8 most intense peaks (15° ≤ 2θ ≤ 90°), low angle first:
h k l  Position (°2θ)  Rel. int.
2 0 0  25.72  43
2 0 -2  26.23  40
0 2 1  31.16  30
1 1 1  31.30  42
1 1 -2  31.62  47
3 1 -1  31.98  43
3 1 -2  32.29  43
1 3 -1  40.51  100

Atomic structure:
```
data_YV2O4
_space_group_name_H-M_alt 'C 1 2/c 1'
_space_group_IT_number 15
_space_group_name_Hall '-C 2yc'
_cell_length_a 9.557
_cell_length_b 7.063
_cell_length_c 6.799
_cell_angle_alpha 90.00
_cell_angle_beta 133.55
_cell_angle_gamma 90.00
loop_
_atom_site_label
_atom_site_type_symbol
_atom_site_fract_x
_atom_site_fract_y
_atom_site_fract_z
_atom_site_occupancy
Y1 Y 0.000 0.120 0.250 1
V1 V 0.000 0.500 0.000 1
V2 V 0.250 0.250 0.000 1
O1 O 0.004 0.214 0.565 1
O2 O 0.184 0.458 0.435 1
```